No. 1
Calculated PXRD pattern
Compound: Hf4Sb
Radiation: Cu Kα (λ = 1.5418 Å)
Structure: DFT lattice parameters and positions (GGA-PBE)

The 12 most intense peaks (5° ≤ 2θ ≤ 70°), by angle:
hkl	2θ/deg	Rel. int.
2 1 1	27.1	19
1 1 2	31.8	58
3 1 0	32.9	80
3 0 1	34.3	78
2 0 2	35.1	100
3 2 1	40.4	83
3 1 2	43.8	38
4 1 1	45.8	17
2 1 3	49.2	15
4 3 1	55.3	37
3 1 4	68.5	20
6 2 0	69.1	15

Cell and atoms:
```
data_Hf4Sb
_chemical_formula_sum 'Hf16 Sb4'
_symmetry_space_group_name_H-M 'I -4 2 d'
_symmetry_Int_Tables_number 122
_symmetry_space_group_name_Hall 'I -4 2bw'
_cell_length_a 8.6023
_cell_length_b 8.6023
_cell_length_c 6.3453
_cell_angle_alpha 90.00
_cell_angle_beta 90.00
_cell_angle_gamma 90.00
loop_
_atom_site_label
_atom_site_fract_x
_atom_site_fract_y
_atom_site_fract_z
_atom_site_occupancy
Hf1 0.0726 0.1901 0.3765 1
Sb1 0.0000 0.0000 0.0000 1
```



No. 2
Calculated PXRD pattern
Compound: Be16Nb2Pt
Radiation: Cu Kα (λ = 1.5418 Å)
Structure: DFT lattice parameters and positions (GGA-PBE)

The 12 most intense peaks (5° ≤ 2θ ≤ 70°), by angle:
hkl	2θ/deg	Rel. int.
1 0 1	15.9	27
0 1 2	21.2	28
1 1 0	23.7	100
0 0 3	24.4	14
1 1 3	34.3	38
1 0 4	35.6	24
3 0 0	41.7	30
0 2 4	43.2	16
2 2 0	48.5	21
0 3 3	48.9	18
2 1 4	49.9	20
4 1 0	65.8	12

Cell and atoms:
```
data_Be16Nb2Pt
_chemical_formula_sum 'Be48 Nb6 Pt3'
_symmetry_space_group_name_H-M 'R 3 m'
_symmetry_Int_Tables_number 160
_symmetry_space_group_name_Hall 'R 3 -2"'
_cell_length_a 7.5079
_cell_length_b 7.5079
_cell_length_c 10.9439
_cell_angle_alpha 90.00
_cell_angle_beta 90.00
_cell_angle_gamma 120.00
loop_
_atom_site_label
_atom_site_fract_x
_atom_site_fract_y
_atom_site_fract_z
_atom_site_occupancy
Be1 0.0000 0.0000 0.0448 1
Be2 0.0003 0.2971 0.1572 1
Be3 0.0056 0.5028 0.3113 1
Be4 0.0057 0.5029 0.6552 1
Be5 0.1713 0.3425 0.3333 1
Nb1 0.0000 0.0000 0.5025 1
Nb2 0.0000 0.0000 0.8170 1
Pt1 0.0000 0.0000 0.2493 1
```



No. 3
Calculated PXRD pattern
Compound: Li2Ac3Tl5
Radiation: Cu Kα (λ = 1.5418 Å)
Structure: DFT lattice parameters and positions (GGA-PBE)

The 12 most intense peaks (5° ≤ 2θ ≤ 70°), by angle:
hkl	2θ/deg	Rel. int.
2 1 1	26.4	82
2 2 1	29.7	42
3 1 1	31.8	100
4 1 0	32.4	60
3 2 1	34.7	29
4 2 0	35.2	37
0 0 2	40.1	31
6 0 1	52.2	21
4 1 2	52.4	32
4 2 2	54.4	22
7 1 1	61.0	21
8 2 0	67.7	22

Cell and atoms:
```
data_Li2Ac3Tl5
_chemical_formula_sum 'Li4 Ac6 Tl10'
_symmetry_space_group_name_H-M 'P 4/m b m'
_symmetry_Int_Tables_number 127
_symmetry_space_group_name_Hall '-P 4 2ab'
_cell_length_a 11.4091
_cell_length_b 11.4091
_cell_length_c 4.4989
_cell_angle_alpha 90.00
_cell_angle_beta 90.00
_cell_angle_gamma 90.00
loop_
_atom_site_label
_atom_site_fract_x
_atom_site_fract_y
_atom_site_fract_z
_atom_site_occupancy
Li1 0.1153 0.3847 0.0000 1
Ac1 0.0000 0.0000 0.0000 1
Ac2 0.1762 0.6762 0.0000 1
Tl1 0.0000 0.5000 0.5000 1
Tl2 0.0709 0.2230 0.5000 1
```



No. 4
Calculated PXRD pattern
Compound: La9PmTh4
Radiation: Cu Kα (λ = 1.5418 Å)
Structure: DFT lattice parameters and positions (GGA-PBE)

The 12 most intense peaks (5° ≤ 2θ ≤ 70°), by angle:
hkl	2θ/deg	Rel. int.
1 0 0	10.0	37
2 0 1	21.5	11
2 1 2	31.1	100
3 0 1	31.3	55
2 0 3	31.5	41
0 0 4	32.3	24
2 2 0	35.0	18
3 1 1	37.4	11
3 0 5	51.5	28
3 3 0	53.6	17
5 0 2	54.2	21
3 3 4	64.0	15

Cell and atoms:
```
data_La9PmTh4
_chemical_formula_sum 'La18 Pm2 Th8'
_symmetry_space_group_name_H-M 'P 63/m m c'
_symmetry_Int_Tables_number 194
_symmetry_space_group_name_Hall '-P 6c 2c'
_cell_length_a 10.2601
_cell_length_b 10.2601
_cell_length_c 11.0940
_cell_angle_alpha 90.00
_cell_angle_beta 90.00
_cell_angle_gamma 120.00
loop_
_atom_site_label
_atom_site_fract_x
_atom_site_fract_y
_atom_site_fract_z
_atom_site_occupancy
La1 0.0838 0.5419 0.2500 1
La2 0.1977 0.3954 0.5452 1
Pm1 0.3333 0.6667 0.7500 1
Th1 0.0000 0.0000 0.0000 1
Th2 0.1113 0.2226 0.2500 1
```



No. 5
Calculated PXRD pattern
Compound: SmY2Pd2
Radiation: Cu Kα (λ = 1.5418 Å)
Structure: DFT lattice parameters and positions (GGA-PBE)

The 12 most intense peaks (5° ≤ 2θ ≤ 70°), by angle:
hkl	2θ/deg	Rel. int.
1 0 0	16.3	24
1 0 1	19.5	36
1 1 1	27.4	56
0 1 3	32.3	99
1 1 -3	34.6	100
2 0 -2	35.0	39
2 0 1	35.4	37
1 1 3	38.1	31
0 2 0	38.6	72
2 1 -2	40.2	54
2 1 1	40.5	40
1 0 -6	53.3	37

Cell and atoms:
```
data_SmY2Pd2
_chemical_formula_sum 'Sm2 Y4 Pd4'
_symmetry_space_group_name_H-M 'P 1 21/m 1'
_symmetry_Int_Tables_number 11
_symmetry_space_group_name_Hall '-P 2yb'
_cell_length_a 5.4889
_cell_length_b 4.6668
_cell_length_c 10.4559
_cell_angle_alpha 90.00
_cell_angle_beta 98.34
_cell_angle_gamma 90.00
loop_
_atom_site_label
_atom_site_fract_x
_atom_site_fract_y
_atom_site_fract_z
_atom_site_occupancy
Sm1 0.0856 0.2500 0.2843 1
Y1 0.2560 0.2500 0.9665 1
Y2 0.3907 0.2500 0.6186 1
Pd1 0.1471 0.7500 0.4735 1
Pd2 0.2649 0.7500 0.1362 1
```



No. 6
Calculated PXRD pattern
Compound: Na2H3N2
Radiation: Cu Kα (λ = 1.5418 Å)
Structure: DFT lattice parameters and positions (GGA-PBE)

The 12 most intense peaks (5° ≤ 2θ ≤ 70°), by angle:
hkl	2θ/deg	Rel. int.
0 0 1	16.2	42
0 0 2	32.7	53
1 1 0	34.8	15
1 1 -1	37.9	100
1 1 1	39.4	63
2 0 0	48.8	13
1 1 2	49.8	23
0 2 0	51.4	19
2 0 1	52.9	10
2 0 -2	57.9	10
1 1 -3	60.8	12
0 2 2	62.3	12

Cell and atoms:
```
data_Na2H3N2
_chemical_formula_sum 'Na2 H3 N2'
_symmetry_space_group_name_H-M 'P 1 2/m 1'
_symmetry_Int_Tables_number 10
_symmetry_space_group_name_Hall '-P 2y'
_cell_length_a 3.7415
_cell_length_b 3.5573
_cell_length_c 5.4839
_cell_angle_alpha 90.00
_cell_angle_beta 93.91
_cell_angle_gamma 90.00
loop_
_atom_site_label
_atom_site_fract_x
_atom_site_fract_y
_atom_site_fract_z
_atom_site_occupancy
Na1 0.1912 0.0000 0.2102 1
H1 0.4333 0.5000 0.6595 1
H2 0.5000 0.5000 0.0000 1
N1 0.2762 0.5000 0.8088 1
```